The following is a calculated X-ray powder pattern of BaAc4Tl3O12. It was derived from a DFT-relaxed cell (GGA-PBE, Alexandria), using Cu Kα (λ = 1.5418 Å).
Kinematic intensities with the Lorentz-polarization factor, no thermal factor.

Peak list (10 most intense, 10° ≤ 2θ ≤ 80°, in order of falling intensity)
2θ = 27.7°, I 100
2θ = 49.0°, I 49
2θ = 78.7°, I 23
2θ = 39.6°, I 22
2θ = 64.8°, I 20
2θ = 57.3°, I 14
2θ = 71.9°, I 5
2θ = 19.5°, I 1
2θ = 24.0°, I 1
2θ = 13.8°, I 1

Atomic structure:
Cell lengths 7.882, 7.882, 7.882 Å; angles 109.47, 109.47, 109.47 degrees
Atoms (fractional coordinates):
Ba  0.000  0.000  0.000
Ac  0.000  0.000  0.500
Ac  0.000  0.500  0.000
Ac  0.500  0.000  0.000
Ac  0.500  0.500  0.500
Tl  0.000  0.500  0.500
Tl  0.500  0.000  0.500
Tl  0.500  0.500  0.000
O  0.157  0.316  0.841
O  0.159  0.474  0.316
O  0.159  0.843  0.684
O  0.316  0.159  0.474
O  0.316  0.841  0.157
O  0.474  0.316  0.159
O  0.526  0.684  0.841
O  0.684  0.159  0.843
O  0.684  0.841  0.526
O  0.841  0.157  0.316
O  0.841  0.526  0.684
O  0.843  0.684  0.159

---

The following is a calculated X-ray powder pattern of BaAcP2Pt2. It was derived from a DFT-relaxed cell (GGA-PBE, Alexandria), using Cu Kα (λ = 1.5418 Å).
Kinematic intensities with the Lorentz-polarization factor, no thermal factor.

Peak list (10 most intense, 10° ≤ 2θ ≤ 80°, in order of falling intensity)
2θ = 31.2°, I 100
2θ = 42.4°, I 42
2θ = 26.0°, I 39
2θ = 59.5°, I 29
2θ = 53.6°, I 22
2θ = 70.6°, I 20
2θ = 38.5°, I 16
2θ = 39.7°, I 16
2θ = 66.8°, I 11
2θ = 77.5°, I 7

Atomic structure:
Cell lengths 4.267, 4.267, 9.075 Å; angles 90.00, 90.00, 120.00 degrees
Atoms (fractional coordinates):
Ba  0.000  0.000  0.000
Ac  0.000  0.000  0.500
P  0.333  0.667  0.736
P  0.667  0.333  0.264
Pt  0.333  0.667  0.262
Pt  0.667  0.333  0.738

---

The following is a calculated X-ray powder pattern of Ba3AcTh2P6. It was derived from a DFT-relaxed cell (GGA-PBE, Alexandria), using Cu Kα (λ = 1.5418 Å).
Kinematic intensities with the Lorentz-polarization factor, no thermal factor.

Peak list (10 most intense, 10° ≤ 2θ ≤ 80°, in order of falling intensity)
2θ = 28.4°, I 100
2θ = 24.7°, I 69
2θ = 40.2°, I 38
2θ = 41.0°, I 37
2θ = 48.1°, I 26
2θ = 24.0°, I 26
2θ = 50.6°, I 20
2θ = 67.1°, I 17
2θ = 65.9°, I 17
2θ = 12.0°, I 15

Atomic structure:
Cell lengths 7.625, 7.625, 7.830 Å; angles 99.34, 99.34, 120.02 degrees
Atoms (fractional coordinates):
Ba  0.000  0.000  0.000
Ba  0.335  0.665  0.000
Ba  0.665  0.335  0.000
Ac  0.500  0.500  0.500
Th  0.167  0.833  0.500
Th  0.833  0.167  0.500
P  0.079  0.428  0.286
P  0.222  0.222  0.714
P  0.428  0.079  0.286
P  0.572  0.921  0.714
P  0.778  0.778  0.286
P  0.921  0.572  0.714

---

The following is a calculated X-ray powder pattern of Ba3AcPb3. It was derived from a DFT-relaxed cell (GGA-PBE, Alexandria), using Cu Kα (λ = 1.5418 Å).
Kinematic intensities with the Lorentz-polarization factor, no thermal factor.

Peak list (10 most intense, 10° ≤ 2θ ≤ 80°, in order of falling intensity)
2θ = 29.9°, I 100
2θ = 27.2°, I 60
2θ = 10.0°, I 54
2θ = 30.2°, I 47
2θ = 34.3°, I 43
2θ = 24.0°, I 43
2θ = 26.1°, I 42
2θ = 34.9°, I 39
2θ = 14.8°, I 35
2θ = 25.3°, I 28

Atomic structure:
Cell lengths 8.868, 8.868, 8.407 Å; angles 91.84, 91.84, 95.31 degrees
Atoms (fractional coordinates):
Ba  0.165  0.835  0.000
Ba  0.261  0.739  0.500
Ba  0.321  0.321  0.871
Ba  0.679  0.679  0.129
Ba  0.739  0.261  0.500
Ba  0.835  0.165  0.000
Ac  0.236  0.236  0.367
Ac  0.764  0.764  0.633
Pb  0.049  0.492  0.182
Pb  0.057  0.057  0.668
Pb  0.492  0.049  0.182
Pb  0.508  0.951  0.818
Pb  0.943  0.943  0.332
Pb  0.951  0.508  0.818

---

The following is a calculated X-ray powder pattern of BaAc12Pb6. It was derived from a DFT-relaxed cell (GGA-PBE, Alexandria), using Cu Kα (λ = 1.5418 Å).
Kinematic intensities with the Lorentz-polarization factor, no thermal factor.

Peak list (10 most intense, 10° ≤ 2θ ≤ 80°, in order of falling intensity)
2θ = 29.2°, I 100
2θ = 25.0°, I 89
2θ = 30.3°, I 65
2θ = 36.5°, I 48
2θ = 30.0°, I 44
2θ = 31.4°, I 44
2θ = 11.5°, I 36
2θ = 24.1°, I 34
2θ = 43.4°, I 24
2θ = 27.9°, I 23

Atomic structure:
Cell lengths 9.850, 9.850, 9.850 Å; angles 103.17, 103.17, 103.17 degrees
Atoms (fractional coordinates):
Ba  0.000  0.000  0.000
Ac  0.125  0.500  0.875
Ac  0.125  0.875  0.500
Ac  0.177  0.450  0.450
Ac  0.450  0.177  0.450
Ac  0.450  0.450  0.177
Ac  0.500  0.125  0.875
Ac  0.500  0.875  0.125
Ac  0.550  0.550  0.823
Ac  0.550  0.823  0.550
Ac  0.823  0.550  0.550
Ac  0.875  0.125  0.500
Ac  0.875  0.500  0.125
Pb  0.242  0.242  0.694
Pb  0.242  0.694  0.242
Pb  0.306  0.758  0.758
Pb  0.694  0.242  0.242
Pb  0.758  0.306  0.758
Pb  0.758  0.758  0.306

---

The following is a calculated X-ray powder pattern of BaAcPb6. It was derived from a DFT-relaxed cell (GGA-PBE, Alexandria), using Cu Kα (λ = 1.5418 Å).
Kinematic intensities with the Lorentz-polarization factor, no thermal factor.

Peak list (10 most intense, 10° ≤ 2θ ≤ 80°, in order of falling intensity)
2θ = 32.3°, I 100
2θ = 29.8°, I 29
2θ = 54.5°, I 23
2θ = 28.6°, I 23
2θ = 59.9°, I 21
2θ = 50.7°, I 18
2θ = 41.8°, I 17
2θ = 61.4°, I 14
2θ = 77.6°, I 7
2θ = 14.2°, I 6

Atomic structure:
Cell lengths 6.002, 7.208, 7.208 Å; angles 59.96, 90.00, 90.00 degrees
Atoms (fractional coordinates):
Ba  0.000  0.000  0.000
Ac  0.500  0.334  0.334
Pb  0.000  0.514  0.514
Pb  0.000  0.514  0.972
Pb  0.000  0.972  0.514
Pb  0.500  0.362  0.820
Pb  0.500  0.820  0.362
Pb  0.500  0.820  0.820

---

The following is a calculated X-ray powder pattern of BaAc2Pd6Pb3. It was derived from a DFT-relaxed cell (GGA-PBE, Alexandria), using Cu Kα (λ = 1.5418 Å).
Kinematic intensities with the Lorentz-polarization factor, no thermal factor.

Peak list (10 most intense, 10° ≤ 2θ ≤ 80°, in order of falling intensity)
2θ = 26.1°, I 100
2θ = 41.3°, I 87
2θ = 34.1°, I 69
2θ = 28.9°, I 62
2θ = 36.4°, I 59
2θ = 49.5°, I 37
2θ = 54.6°, I 37
2θ = 30.9°, I 36
2θ = 44.1°, I 36
2θ = 40.0°, I 33

Atomic structure:
Cell lengths 4.371, 4.371, 16.456 Å; angles 90.00, 90.00, 90.00 degrees
Atoms (fractional coordinates):
Ba  0.000  0.000  0.000
Ac  0.000  0.000  0.357
Ac  0.000  0.000  0.643
Pd  0.000  0.500  0.221
Pd  0.000  0.500  0.779
Pd  0.500  0.000  0.221
Pd  0.500  0.000  0.779
Pd  0.500  0.500  0.333
Pd  0.500  0.500  0.667
Pb  0.500  0.500  0.118
Pb  0.500  0.500  0.500
Pb  0.500  0.500  0.882

---

The following is a calculated X-ray powder pattern of Ba2Ac2Pd15. It was derived from a DFT-relaxed cell (GGA-PBE, Alexandria), using Cu Kα (λ = 1.5418 Å).
Kinematic intensities with the Lorentz-polarization factor, no thermal factor.

Peak list (10 most intense, 10° ≤ 2θ ≤ 80°, in order of falling intensity)
2θ = 42.0°, I 100
2θ = 37.2°, I 85
2θ = 37.4°, I 65
2θ = 32.1°, I 59
2θ = 33.0°, I 57
2θ = 38.0°, I 42
2θ = 67.2°, I 31
2θ = 37.7°, I 31
2θ = 27.1°, I 29
2θ = 42.3°, I 28

Atomic structure:
Cell lengths 7.335, 7.335, 7.335 Å; angles 82.33, 82.33, 82.33 degrees
Atoms (fractional coordinates):
Ba  0.136  0.136  0.136
Ba  0.864  0.864  0.864
Ac  0.386  0.386  0.386
Ac  0.614  0.614  0.614
Pd  0.000  0.500  0.500
Pd  0.152  0.152  0.659
Pd  0.152  0.659  0.152
Pd  0.200  0.500  0.800
Pd  0.200  0.800  0.500
Pd  0.341  0.848  0.848
Pd  0.500  0.000  0.500
Pd  0.500  0.200  0.800
Pd  0.500  0.500  0.000
Pd  0.500  0.800  0.200
Pd  0.659  0.152  0.152
Pd  0.800  0.200  0.500
Pd  0.800  0.500  0.200
Pd  0.848  0.341  0.848
Pd  0.848  0.848  0.341

---

The following is a calculated X-ray powder pattern of BaAc2Sb3Pd6. It was derived from a DFT-relaxed cell (GGA-PBE, Alexandria), using Cu Kα (λ = 1.5418 Å).
Kinematic intensities with the Lorentz-polarization factor, no thermal factor.

Peak list (10 most intense, 10° ≤ 2θ ≤ 80°, in order of falling intensity)
2θ = 39.9°, I 100
2θ = 33.3°, I 77
2θ = 26.7°, I 76
2θ = 36.1°, I 67
2θ = 27.9°, I 53
2θ = 37.0°, I 46
2θ = 54.9°, I 46
2θ = 11.9°, I 40
2θ = 57.7°, I 34
2θ = 30.4°, I 32

Atomic structure:
Cell lengths 4.521, 4.521, 14.910 Å; angles 90.00, 90.00, 90.00 degrees
Atoms (fractional coordinates):
Ba  0.000  0.000  0.000
Ac  0.000  0.000  0.359
Ac  0.000  0.000  0.641
Sb  0.500  0.500  0.118
Sb  0.500  0.500  0.500
Sb  0.500  0.500  0.882
Pd  0.000  0.500  0.209
Pd  0.000  0.500  0.791
Pd  0.500  0.000  0.209
Pd  0.500  0.000  0.791
Pd  0.500  0.500  0.325
Pd  0.500  0.500  0.675

---

The following is a calculated X-ray powder pattern of Ba2AcPm. It was derived from a DFT-relaxed cell (GGA-PBE, Alexandria), using Cu Kα (λ = 1.5418 Å).
Kinematic intensities with the Lorentz-polarization factor, no thermal factor.

Peak list (10 most intense, 10° ≤ 2θ ≤ 80°, in order of falling intensity)
2θ = 26.5°, I 100
2θ = 25.0°, I 63
2θ = 33.7°, I 60
2θ = 53.3°, I 48
2θ = 46.3°, I 36
2θ = 28.3°, I 33
2θ = 39.7°, I 31
2θ = 30.1°, I 25
2θ = 71.6°, I 20
2θ = 27.5°, I 19

Atomic structure:
Cell lengths 14.406, 14.406, 14.406 Å; angles 15.66, 15.66, 15.66 degrees
Atoms (fractional coordinates):
Ba  0.085  0.085  0.085
Ba  0.915  0.915  0.915
Ac  0.500  0.500  0.500
Pm  0.000  0.000  0.000

---

The following is a calculated X-ray powder pattern of Ba2Ac15Pr2. It was derived from a DFT-relaxed cell (GGA-PBE, Alexandria), using Cu Kα (λ = 1.5418 Å).
Kinematic intensities with the Lorentz-polarization factor, no thermal factor.

Peak list (10 most intense, 10° ≤ 2θ ≤ 80°, in order of falling intensity)
2θ = 27.8°, I 100
2θ = 31.1°, I 81
2θ = 27.9°, I 25
2θ = 13.8°, I 24
2θ = 28.2°, I 21
2θ = 57.4°, I 19
2θ = 49.1°, I 17
2θ = 24.5°, I 15
2θ = 49.2°, I 13
2θ = 24.0°, I 12

Atomic structure:
Cell lengths 9.806, 9.806, 9.806 Å; angles 81.94, 81.94, 81.94 degrees
Atoms (fractional coordinates):
Ba  0.164  0.164  0.164
Ba  0.836  0.836  0.836
Ac  0.000  0.500  0.500
Ac  0.146  0.146  0.647
Ac  0.146  0.647  0.146
Ac  0.207  0.500  0.793
Ac  0.207  0.793  0.500
Ac  0.353  0.854  0.854
Ac  0.500  0.000  0.500
Ac  0.500  0.207  0.793
Ac  0.500  0.500  0.000
Ac  0.500  0.793  0.207
Ac  0.647  0.146  0.146
Ac  0.793  0.207  0.500
Ac  0.793  0.500  0.207
Ac  0.854  0.353  0.854
Ac  0.854  0.854  0.353
Pr  0.410  0.410  0.410
Pr  0.590  0.590  0.590

---

The following is a calculated X-ray powder pattern of BaAcPr. It was derived from a DFT-relaxed cell (GGA-PBE, Alexandria), using Cu Kα (λ = 1.5418 Å).
Kinematic intensities with the Lorentz-polarization factor, no thermal factor.

Peak list (10 most intense, 10° ≤ 2θ ≤ 80°, in order of falling intensity)
2θ = 27.2°, I 100
2θ = 31.8°, I 35
2θ = 53.9°, I 30
2θ = 44.9°, I 23
2θ = 30.8°, I 16
2θ = 45.6°, I 13
2θ = 52.6°, I 12
2θ = 56.0°, I 12
2θ = 10.2°, I 11
2θ = 72.1°, I 11

Atomic structure:
Cell lengths 9.150, 9.150, 9.150 Å; angles 154.89, 154.89, 35.81 degrees
Atoms (fractional coordinates):
Ba  0.000  0.000  0.000
Ac  0.316  0.316  0.000
Pr  0.674  0.674  0.000

---

The following is a calculated X-ray powder pattern of BaAc15Pr4. It was derived from a DFT-relaxed cell (GGA-PBE, Alexandria), using Cu Kα (λ = 1.5418 Å).
Kinematic intensities with the Lorentz-polarization factor, no thermal factor.

Peak list (10 most intense, 10° ≤ 2θ ≤ 80°, in order of falling intensity)
2θ = 27.6°, I 100
2θ = 32.0°, I 51
2θ = 54.4°, I 45
2θ = 45.9°, I 38
2θ = 73.8°, I 18
2θ = 57.0°, I 13
2θ = 76.1°, I 12
2θ = 66.9°, I 6
2θ = 76.1°, I 5
2θ = 15.8°, I 3

Atomic structure:
Cell lengths 5.595, 5.595, 27.959 Å; angles 90.00, 90.00, 90.00 degrees
Atoms (fractional coordinates):
Ba  0.000  0.000  0.000
Ac  0.000  0.500  0.107
Ac  0.000  0.500  0.303
Ac  0.000  0.500  0.500
Ac  0.000  0.500  0.697
Ac  0.000  0.500  0.893
Ac  0.500  0.000  0.107
Ac  0.500  0.000  0.303
Ac  0.500  0.000  0.500
Ac  0.500  0.000  0.697
Ac  0.500  0.000  0.893
Ac  0.500  0.500  0.000
Ac  0.500  0.500  0.205
Ac  0.500  0.500  0.401
Ac  0.500  0.500  0.599
Ac  0.500  0.500  0.795
Pr  0.000  0.000  0.204
Pr  0.000  0.000  0.402
Pr  0.000  0.000  0.598
Pr  0.000  0.000  0.796